Record 1
The following is a computed PXRD pattern of TlCd2. It was derived from DFT lattice parameters and positions (GGA-PBE), using Cu Ka.
No peak broadening, texture or thermal motion is included.

Structure:
Lattice parameters (Å, degrees): 10.4884 4.8845 6.3775 90.00 109.09 90.00
Sites, in units of the cell vectors:
Tl (0.1719, 0.0000, 0.0953)
Tl (0.3281, 0.5000, 0.9047)
Tl (0.6719, 0.5000, 0.0953)
Tl (0.8281, 0.0000, 0.9047)
Cd (0.0134, 0.5000, 0.2618)
Cd (0.1540, 0.0000, 0.5835)
Cd (0.3460, 0.5000, 0.4165)
Cd (0.4866, 0.0000, 0.7382)
Cd (0.5134, 0.0000, 0.2618)
Cd (0.6540, 0.5000, 0.5835)
Cd (0.8460, 0.0000, 0.4165)
Cd (0.9866, 0.5000, 0.7382)

Most intense lines, 5° ≤ 2θ ≤ 70°, by angle:
2θ/deg, Rel. int.
32.72, 100.0
33.57, 96.1
36.80, 37.8
38.77, 31.5
39.77, 28.8
54.53, 23.1
55.29, 21.7
63.72, 14.3
64.24, 14.4
65.88, 11.7
67.39, 11.9
68.75, 10.8



Record 2
The following is a computed PXRD pattern of CeScPSe. It was derived from DFT lattice parameters and positions (GGA-PBE), using Cu Ka.
No peak broadening, texture or thermal motion is included.

Structure:
Lattice parameters (Å, degrees): 3.9634 3.9634 19.7992 90.00 90.00 120.00
Sites, in units of the cell vectors:
Ce (0.0000, 0.0000, 0.0000)
Ce (0.3333, 0.6667, 0.6667)
Ce (0.6667, 0.3333, 0.3333)
Sc (0.0000, 0.0000, 0.5132)
Sc (0.3333, 0.6667, 0.1798)
Sc (0.6667, 0.3333, 0.8465)
P (0.0000, 0.0000, 0.2486)
P (0.3333, 0.6667, 0.9153)
P (0.6667, 0.3333, 0.5819)
Se (0.0000, 0.0000, 0.7639)
Se (0.3333, 0.6667, 0.4306)
Se (0.6667, 0.3333, 0.0972)

Most intense lines, 5° ≤ 2θ ≤ 70°, by angle:
2θ/deg, Rel. int.
13.42, 18.5
26.35, 24.5
27.50, 9.3
31.72, 100.0
34.58, 19.9
41.03, 5.9
45.17, 33.3
45.79, 36.1
47.93, 5.3
56.78, 18.2
63.15, 10.0
66.27, 10.3



Record 3
The following is a computed PXRD pattern of Pr9Fe2I14. It was derived from DFT lattice parameters and positions (GGA-PBE), using Cu Ka.
No peak broadening, texture or thermal motion is included.

Structure:
Lattice parameters (Å, degrees): 9.3397 9.3397 12.8179 90.00 90.00 120.00
Sites, in units of the cell vectors:
Pr (0.0000, 0.0000, 0.0000)
Pr (0.1051, 0.3957, 0.3350)
Pr (0.2905, 0.8949, 0.3350)
Pr (0.3333, 0.6667, 0.0706)
Pr (0.3957, 0.2905, 0.6650)
Pr (0.6043, 0.7095, 0.3350)
Pr (0.6667, 0.3333, 0.9294)
Pr (0.7095, 0.1051, 0.6650)
Pr (0.8949, 0.6043, 0.6650)
Fe (0.3333, 0.6667, 0.2671)
Fe (0.6667, 0.3333, 0.7329)
I (0.0000, 0.0000, 0.2567)
I (0.0000, 0.0000, 0.7433)
I (0.0471, 0.6838, 0.9076)
I (0.0878, 0.4000, 0.5975)
I (0.3123, 0.9122, 0.5975)
I (0.3162, 0.3633, 0.9076)
I (0.3633, 0.0471, 0.0924)
I (0.4000, 0.3123, 0.4025)
I (0.6000, 0.6877, 0.5975)
I (0.6367, 0.9529, 0.9076)
I (0.6838, 0.6367, 0.0924)
I (0.6877, 0.0878, 0.4025)
I (0.9122, 0.6000, 0.4025)
I (0.9529, 0.3162, 0.0924)

Most intense lines, 5° ≤ 2θ ≤ 70°, by angle:
2θ/deg, Rel. int.
12.94, 25.9
20.24, 53.5
20.79, 27.6
23.57, 33.8
29.21, 43.9
30.04, 100.0
33.23, 62.3
33.93, 94.8
36.13, 43.5
40.82, 21.3
49.62, 29.1
61.15, 16.5



Record 4
The following is a computed PXRD pattern of KMoOs2. It was derived from DFT lattice parameters and positions (GGA-PBE), using Cu Ka.
No peak broadening, texture or thermal motion is included.

Structure:
Lattice parameters (Å, degrees): 2.8851 4.6392 10.6013 90.00 90.00 90.00
Sites, in units of the cell vectors:
K (0.0000, 0.0000, 0.0000)
K (0.5000, 0.5000, 0.0000)
Mo (0.0000, 0.5000, 0.7006)
Mo (0.5000, 0.0000, 0.7006)
Os (0.0000, 0.0000, 0.4887)
Os (0.0000, 0.5000, 0.2741)
Os (0.5000, 0.0000, 0.2741)
Os (0.5000, 0.5000, 0.4887)

Most intense lines, 5° ≤ 2θ ≤ 70°, by angle:
2θ/deg, Rel. int.
8.34, 100.0
33.82, 13.5
37.68, 3.4
38.82, 14.6
39.78, 5.5
40.57, 46.2
42.64, 7.3
45.03, 17.0
52.42, 7.7
59.02, 5.7
64.61, 3.2
65.09, 4.3



Record 5
The following is a computed PXRD pattern of Na2SmTmTe4. It was derived from DFT lattice parameters and positions (GGA-PBE), using Cu Ka.
No peak broadening, texture or thermal motion is included.

Structure:
Lattice parameters (Å, degrees): 7.6977 4.4452 7.9912 90.00 108.72 90.00
Sites, in units of the cell vectors:
Na (0.0000, 0.0000, 0.0000)
Na (0.5000, 0.5000, 0.0000)
Sm (0.0000, 0.5000, 0.5000)
Tm (0.5000, 0.0000, 0.5000)
Te (0.2516, 0.0000, 0.7346)
Te (0.2631, 0.5000, 0.2691)
Te (0.7369, 0.5000, 0.7309)
Te (0.7484, 0.0000, 0.2654)

Most intense lines, 5° ≤ 2θ ≤ 70°, by angle:
2θ/deg, Rel. int.
11.69, 34.9
23.45, 14.1
28.01, 100.0
36.22, 10.6
39.45, 38.4
40.59, 37.0
42.39, 9.3
48.09, 6.8
50.04, 19.8
57.89, 12.3
64.70, 16.5
66.33, 18.4



Record 6
The following is a computed PXRD pattern of Sm5Pa3N8. It was derived from DFT lattice parameters and positions (GGA-PBE), using Cu Ka.
No peak broadening, texture or thermal motion is included.

Structure:
Lattice parameters (Å, degrees): 7.1014 7.1014 7.1014 60.05 60.05 60.05
Sites, in units of the cell vectors:
Sm (0.0000, 0.0000, 0.0000)
Sm (0.0000, 0.5000, 0.5000)
Sm (0.5000, 0.0000, 0.5000)
Sm (0.5000, 0.5000, 0.0000)
Sm (0.5000, 0.5000, 0.5000)
Pa (0.0000, 0.0000, 0.5000)
Pa (0.0000, 0.5000, 0.0000)
Pa (0.5000, 0.0000, 0.0000)
N (0.2255, 0.7501, 0.7501)
N (0.2408, 0.2408, 0.2408)
N (0.2499, 0.2499, 0.7745)
N (0.2499, 0.7745, 0.2499)
N (0.7501, 0.2255, 0.7501)
N (0.7501, 0.7501, 0.2255)
N (0.7592, 0.7592, 0.7592)
N (0.7745, 0.2499, 0.2499)

Most intense lines, 5° ≤ 2θ ≤ 70°, by angle:
2θ/deg, Rel. int.
15.28, 5.8
17.66, 0.9
29.48, 3.1
30.83, 100.0
35.75, 68.9
39.09, 1.3
47.01, 1.5
51.45, 48.2
53.99, 1.5
61.19, 46.0
64.23, 16.3
66.47, 0.9